# 1
Computed powder diffraction line list of MgCr4Hg4H4O18 for Cu Ka, from a PBE+U-relaxed structure.

Atomic structure:
Unit cell a=6.567 b=6.567 c=14.071 alpha=93.78 beta=93.78 gamma=49.06
Fractional positions:
Mg1 0.000 0.000 0.000
Cr1 0.106 0.733 0.172
Cr2 0.267 0.894 0.828
Cr3 0.401 0.246 0.645
Cr4 0.754 0.599 0.355
Hg1 0.324 0.105 0.159
Hg2 0.577 0.220 0.380
Hg3 0.780 0.423 0.620
Hg4 0.895 0.676 0.841
H1 0.107 0.811 0.540
H2 0.189 0.893 0.460
H3 0.503 0.454 0.946
H4 0.546 0.497 0.054
O1 0.019 0.503 0.418
O2 0.036 0.964 0.500
O3 0.056 0.473 0.660
O4 0.118 0.001 0.724
O5 0.166 0.725 0.888
O6 0.182 0.111 0.921
O7 0.275 0.834 0.112
O8 0.379 0.376 0.185
O9 0.473 0.413 0.586
O10 0.497 0.981 0.582
O11 0.527 0.944 0.340
O12 0.550 0.156 0.750
O13 0.587 0.527 0.414
O14 0.624 0.621 0.815
O15 0.635 0.365 0.000
O16 0.844 0.450 0.250
O17 0.889 0.818 0.079
O18 0.999 0.882 0.276

Largest 12 diffraction maxima, by angle, 15 to 90 degrees two-theta:
18.8°, intensity 100; 25.4°, intensity 24; 26.6°, intensity 28; 29.9°, intensity 25; 31.1°, intensity 20; 31.3°, intensity 25; 31.7°, intensity 16; 32.9°, intensity 38; 36.3°, intensity 20; 38.2°, intensity 12; 45.9°, intensity 12; 52.4°, intensity 12

***

# 2
Computed powder diffraction line list of MgCr4Hg4H4O18 for Cu Ka, from a PBE+U-relaxed structure.

Atomic structure:
Unit cell a=5.622 b=6.438 c=13.666 alpha=78.12 beta=79.74 gamma=66.86
Fractional positions:
Mg1 0.000 0.000 0.000
Cr1 0.140 0.301 0.541
Cr2 0.251 0.686 0.731
Cr3 0.542 0.819 0.053
Cr4 0.819 0.203 0.232
Hg1 0.000 0.631 0.268
Hg2 0.317 0.383 0.041
Hg3 0.633 0.118 0.742
Hg4 0.762 0.896 0.492
H1 0.046 0.306 0.838
H2 0.369 0.876 0.353
H3 0.428 0.661 0.434
H4 0.749 0.405 0.877
O1 0.052 0.336 0.215
O2 0.056 0.162 0.476
O3 0.081 0.575 0.480
O4 0.299 0.093 0.012
O5 0.308 0.704 0.034
O6 0.320 0.400 0.790
O7 0.323 0.824 0.802
O8 0.428 0.689 0.625
O9 0.468 0.171 0.559
O10 0.507 0.767 0.394
O11 0.544 0.317 0.299
O12 0.565 0.780 0.173
O13 0.780 0.165 0.114
O14 0.813 0.803 0.973
O15 0.899 0.262 0.876
O16 0.928 0.811 0.711
O17 0.970 0.306 0.651
O18 0.982 0.930 0.307

Largest 12 diffraction maxima, by angle, 15 to 90 degrees two-theta:
17.4°, intensity 77; 17.8°, intensity 93; 18.3°, intensity 100; 26.8°, intensity 75; 28.0°, intensity 52; 28.9°, intensity 55; 30.0°, intensity 35; 30.4°, intensity 65; 31.2°, intensity 55; 31.5°, intensity 73; 31.9°, intensity 48; 36.1°, intensity 29

***

# 3
Computed powder diffraction line list of MgCr4Hg4H4O18 for Cu Ka, from a PBE+U-relaxed structure.

Atomic structure:
Unit cell a=5.743 b=6.458 c=13.948 alpha=90.40 beta=97.04 gamma=115.94
Fractional positions:
Mg1 0.000 0.000 0.000
Cr1 0.226 0.825 0.120
Cr2 0.227 0.289 0.592
Cr3 0.773 0.711 0.408
Cr4 0.774 0.175 0.880
Hg1 0.398 0.571 0.874
Hg2 0.411 0.857 0.613
Hg3 0.589 0.143 0.387
Hg4 0.602 0.429 0.126
H1 0.043 0.871 0.770
H2 0.080 0.386 0.268
H3 0.920 0.614 0.732
H4 0.957 0.129 0.230
O1 0.005 0.124 0.655
O2 0.085 0.322 0.490
O3 0.088 0.746 0.754
O4 0.123 0.242 0.889
O5 0.247 0.788 0.004
O6 0.269 0.127 0.127
O7 0.351 0.721 0.207
O8 0.414 0.553 0.657
O9 0.431 0.167 0.567
O10 0.569 0.833 0.433
O11 0.586 0.447 0.343
O12 0.649 0.279 0.793
O13 0.731 0.873 0.873
O14 0.753 0.212 0.996
O15 0.877 0.758 0.111
O16 0.912 0.254 0.246
O17 0.915 0.678 0.510
O18 0.995 0.876 0.345

Largest 12 diffraction maxima, by angle, 15 to 90 degrees two-theta:
17.0°, intensity 64; 17.3°, intensity 80; 18.0°, intensity 100; 25.8°, intensity 87; 27.1°, intensity 49; 27.9°, intensity 50; 29.1°, intensity 48; 29.5°, intensity 32; 30.7°, intensity 55; 31.0°, intensity 44; 32.7°, intensity 32; 35.7°, intensity 33

***

# 4
Computed powder diffraction line list of MgCr4Hg4H4O18 for Cu Ka, from a PBE+U-relaxed structure.

Atomic structure:
Unit cell a=5.382 b=6.394 c=14.490 alpha=78.06 beta=80.20 gamma=68.26
Fractional positions:
Mg1 0.000 0.000 0.000
Cr1 0.222 0.777 0.453
Cr2 0.334 0.168 0.636
Cr3 0.519 0.268 0.939
Cr4 0.917 0.683 0.164
Hg1 0.126 0.123 0.198
Hg2 0.637 0.743 0.925
Hg3 0.706 0.590 0.660
Hg4 0.847 0.350 0.430
H1 0.157 0.622 0.811
H2 0.460 0.344 0.274
H3 0.554 0.121 0.345
H4 0.968 0.849 0.760
O1 0.048 0.783 0.556
O2 0.102 0.876 0.135
O3 0.134 0.425 0.222
O4 0.137 0.632 0.393
O5 0.159 0.054 0.392
O6 0.286 0.129 0.956
O7 0.410 0.891 0.694
O8 0.416 0.314 0.697
O9 0.430 0.546 0.876
O10 0.499 0.173 0.531
O11 0.559 0.653 0.470
O12 0.619 0.238 0.306
O13 0.623 0.796 0.220
O14 0.635 0.246 0.042
O15 0.800 0.087 0.881
O16 0.904 0.704 0.040
O17 0.979 0.692 0.785
O18 0.992 0.286 0.623

Largest 12 diffraction maxima, by angle, 15 to 90 degrees two-theta:
17.3°, intensity 99; 18.3°, intensity 73; 19.0°, intensity 82; 19.5°, intensity 29; 25.3°, intensity 100; 27.4°, intensity 41; 28.1°, intensity 77; 31.1°, intensity 28; 31.3°, intensity 37; 31.6°, intensity 61; 33.0°, intensity 30; 34.9°, intensity 41

***

# 5
Computed powder diffraction line list of NaCr2InH4O10 for Cu Ka, from a PBE+U-relaxed structure.

Atomic structure:
Unit cell a=6.301 b=6.301 c=7.434 alpha=110.08 beta=110.08 gamma=54.16
Fractional positions:
Na1 0.000 0.000 0.000
Cr1 0.388 0.388 0.184
Cr2 0.612 0.612 0.816
In1 0.000 0.000 0.500
H1 0.243 0.243 0.465
H2 0.272 0.272 0.702
H3 0.728 0.728 0.298
H4 0.757 0.757 0.535
O1 0.206 0.206 0.566
O2 0.233 0.722 0.277
O3 0.258 0.258 0.233
O4 0.278 0.767 0.723
O5 0.349 0.349 0.949
O6 0.651 0.651 0.051
O7 0.722 0.233 0.277
O8 0.742 0.742 0.767
O9 0.767 0.278 0.723
O10 0.794 0.794 0.434

Largest 12 diffraction maxima, by angle, 15 to 90 degrees two-theta:
17.0°, intensity 82; 17.1°, intensity 42; 19.9°, intensity 18; 23.8°, intensity 100; 28.7°, intensity 84; 30.2°, intensity 45; 31.2°, intensity 41; 31.9°, intensity 26; 32.8°, intensity 18; 46.6°, intensity 23; 49.1°, intensity 21; 59.3°, intensity 22